For TmPaGe, a cell relaxed with PBE gives the simulated powder XRD pattern in this record (Cu Kα (λ = 1.5418 Å)).
Peak positions follow from Bragg's law for the DFT cell and can differ from measured ones.

Peak list (8 most intense, 10° ≤ 2θ ≤ 90°, sorted by position)
index  2θ/deg  I (rel.)
0 0 1  10.58  28
0 0 3  32.11  35
1 1 1  32.48  100
1 1 2  37.57  58
2 0 0  43.86  40
1 1 4  53.94  22
2 0 3  55.38  31
3 1 1  73.40  20

Structural model:
Unit cell a=4.129 b=4.129 c=8.363 alpha=90.00 beta=90.00 gamma=90.00
Space group P4/nmm (No. 129, origin choice 2)
Inequivalent atoms, fractional coordinates:
Tm 0.250 0.250 0.138 [2 per cell]
Pa 0.250 0.750 0.500 [2 per cell]
Ge 0.250 0.250 0.778 [2 per cell]